Record 1
For CeNd2DyEr, a DFT-relaxed cell (PBE, Alexandria) gives the calculated X-ray powder pattern in this record (a wavelength of 1.5418 Å).
Lines closer than 0.1° are merged.

Largest 12 diffraction maxima, in order of rising 2θ, 15 to 90 degrees two-theta:
hkl	two_theta	d [Å]	I/Imax
0 2 1	26.3	3.388	15
2 1 0	28.7	3.109	18
0 0 2	29.2	3.055	28
1 2 1	29.5	3.026	56
2 1 1	32.3	2.771	100
0 3 0	33.0	2.714	17
1 1 -2	34.1	2.632	40
2 2 0	34.6	2.593	15
1 3 0	35.7	2.517	21
0 2 2	36.8	2.444	21
3 1 2	51.8	1.765	15
2 1 -3	53.8	1.704	24

Crystal structure
```
data_CeNd2DyEr
_chemical_formula_sum 'Ce2 Nd4 Dy2 Er2'
_cell_length_a 6.728
_cell_length_b 8.143
_cell_length_c 6.110
_cell_angle_alpha 90.00
_cell_angle_beta 90.05
_cell_angle_gamma 90.00
_space_group_name_H-M_alt 'P 1 2/c 1'
_space_group_IT_number 13
_space_group_name_Hall '-P 2yc'
loop_
_atom_site_label
_atom_site_type_symbol
_atom_site_fract_x
_atom_site_fract_y
_atom_site_fract_z
Ce1 Ce 0.000 0.000 0.000
Nd1 Nd 0.265 0.311 0.250
Dy1 Dy 0.000 0.354 0.750
Er1 Er 0.500 0.125 0.750
```

---

Record 2
For BeAgPb4, a DFT-relaxed cell (PBE, Alexandria) gives the calculated X-ray powder pattern in this record (a wavelength of 1.5418 Å).
Lines closer than 0.1° are merged.

Largest 12 diffraction maxima, in order of rising 2θ, 15 to 90 degrees two-theta:
hkl	two_theta	d [Å]	I/Imax
1 1 1	17.0	5.212	70
3 1 1	32.9	2.722	100
2 2 2	34.4	2.606	81
4 0 0	39.9	2.257	29
3 3 1	43.7	2.071	21
5 1 1	52.7	1.737	36
4 4 0	57.8	1.596	36
5 3 1	60.7	1.526	16
5 3 3	68.1	1.377	13
6 2 2	69.0	1.361	34
7 1 1	75.2	1.264	9
5 5 3	82.0	1.175	23

Crystal structure
```
data_BeAgPb4
_chemical_formula_sum 'Be4 Ag4 Pb16'
_cell_length_a 9.028
_cell_length_b 9.028
_cell_length_c 9.028
_cell_angle_alpha 90.00
_cell_angle_beta 90.00
_cell_angle_gamma 90.00
_space_group_name_H-M_alt 'F -4 3 m'
_space_group_IT_number 216
_space_group_name_Hall 'F -4 2 3'
loop_
_atom_site_label
_atom_site_type_symbol
_atom_site_fract_x
_atom_site_fract_y
_atom_site_fract_z
Be1 Be 0.000 0.000 0.000
Ag1 Ag 0.250 0.250 0.250
Pb1 Pb 0.125 0.125 0.625
```

---

Record 3
For CaPaSiO5, a DFT-relaxed cell (PBE, Alexandria) gives the calculated X-ray powder pattern in this record (a wavelength of 1.5418 Å).
Lines closer than 0.1° are merged.

Largest 12 diffraction maxima, in order of rising 2θ, 15 to 90 degrees two-theta:
hkl	two_theta	d [Å]	I/Imax
1 1 0	16.6	5.325	100
0 2 0	19.1	4.645	35
1 1 -2	25.1	3.545	80
2 0 0	27.5	3.249	41
0 2 2	31.0	2.881	48
1 3 0	32.0	2.795	43
1 1 2	33.4	2.680	24
2 2 0	33.7	2.662	18
2 2 -2	35.4	2.535	19
3 1 -2	41.3	2.185	22
2 0 -4	47.4	1.917	18
2 2 2	47.7	1.908	17

Crystal structure
```
data_CaPaSiO5
_chemical_formula_sum 'Ca4 Pa4 Si4 O20'
_cell_length_a 6.953
_cell_length_b 9.290
_cell_length_c 7.860
_cell_angle_alpha 90.00
_cell_angle_beta 110.84
_cell_angle_gamma 90.00
_space_group_name_H-M_alt 'C 1 2/c 1'
_space_group_IT_number 15
_space_group_name_Hall '-C 2yc'
loop_
_atom_site_label
_atom_site_type_symbol
_atom_site_fract_x
_atom_site_fract_y
_atom_site_fract_z
Ca1 Ca 0.000 0.156 0.250
Pa1 Pa 0.000 0.500 0.000
Si1 Si 0.000 0.178 0.750
O1 O 0.000 0.398 0.250
O2 O 0.121 0.284 0.650
O3 O 0.157 0.067 0.901
```

---

Record 4
For PaZn2RuO8, a DFT-relaxed cell (PBE, Alexandria) gives the calculated X-ray powder pattern in this record (a wavelength of 1.5418 Å).
Lines closer than 0.1° are merged.

Largest 12 diffraction maxima, in order of rising 2θ, 15 to 90 degrees two-theta:
hkl	two_theta	d [Å]	I/Imax
1 1 0	18.7	4.741	40
1 1 1	23.2	3.836	18
0 2 0	26.3	3.386	59
2 0 0	26.9	3.319	55
1 1 2	33.3	2.689	100
2 2 0	38.0	2.370	26
0 2 2	38.3	2.350	16
1 3 2	51.1	1.788	41
3 1 2	51.7	1.768	38
0 2 4	63.2	1.470	11
3 3 2	65.6	1.422	23
2 2 4	70.0	1.344	10

Crystal structure
```
data_PaZn2RuO8
_chemical_formula_sum 'Pa2 Zn4 Ru2 O16'
_cell_length_a 6.639
_cell_length_b 6.772
_cell_length_c 6.529
_cell_angle_alpha 90.00
_cell_angle_beta 90.00
_cell_angle_gamma 90.00
_space_group_name_H-M_alt 'C m m m'
_space_group_IT_number 65
_space_group_name_Hall '-C 2 2'
loop_
_atom_site_label
_atom_site_type_symbol
_atom_site_fract_x
_atom_site_fract_y
_atom_site_fract_z
Pa1 Pa 0.000 0.000 0.000
Zn1 Zn 0.000 0.500 0.257
Ru1 Ru 0.000 0.000 0.500
O1 O 0.000 0.193 0.278
O2 O 0.193 0.500 0.000
O3 O 0.220 0.500 0.500
```

---

Record 5
For KPa2RuO8, a DFT-relaxed cell (PBE, Alexandria) gives the calculated X-ray powder pattern in this record (a wavelength of 1.5418 Å).
Lines closer than 0.1° are merged.

Largest 12 diffraction maxima, in order of rising 2θ, 15 to 90 degrees two-theta:
hkl	two_theta	d [Å]	I/Imax
0 1 1	22.3	3.981	100
1 0 2	30.3	2.947	76
1 1 0	33.2	2.699	85
1 1 1	35.3	2.543	48
2 0 1	40.4	2.234	39
1 0 3	40.5	2.226	34
0 2 2	45.6	1.990	43
1 0 4	52.0	1.759	19
1 2 1	53.2	1.721	21
0 2 3	53.4	1.717	23
2 1 2	57.5	1.602	29
2 1 3	64.3	1.449	18

Crystal structure
```
data_KPa2RuO8
_chemical_formula_sum 'K1 Pa2 Ru1 O8'
_cell_length_a 5.3974
_cell_length_b 5.3974
_cell_length_c 7.5933
_cell_angle_alpha 90.00
_cell_angle_beta 90.00
_cell_angle_gamma 120.00
_space_group_name_H-M_alt 'P -3 m 1'
_space_group_IT_number 164
_space_group_name_Hall '-P 3 2"'
loop_
_atom_site_label
_atom_site_type_symbol
_atom_site_fract_x
_atom_site_fract_y
_atom_site_fract_z
K1 K 0.0000 0.0000 0.0000
Pa1 Pa 0.3333 0.6667 0.3774
Ru1 Ru 0.0000 0.0000 0.5000
O1 O 0.1764 0.3529 0.6342
O2 O 0.3333 0.6667 0.1318
```

---

Record 6
For Ba8P3H3N, a DFT-relaxed cell (PBE, Alexandria) gives the calculated X-ray powder pattern in this record (a wavelength of 1.5418 Å).
Lines closer than 0.1° are merged.

Largest 12 diffraction maxima, in order of rising 2θ, 15 to 90 degrees two-theta:
hkl	two_theta	d [Å]	I/Imax
2 0 2	24.3	3.656	95
0 0 6	25.0	3.564	29
0 2 4	28.4	3.145	100
2 2 0	40.2	2.246	36
2 0 8	41.0	2.203	34
0 4 2	47.5	1.914	14
2 2 6	47.9	1.900	26
0 2 10	48.6	1.874	12
4 0 4	49.9	1.828	18
0 4 8	58.7	1.573	10
2 4 4	65.9	1.418	14
2 2 12	67.0	1.396	13

Crystal structure
```
data_Ba8P3H3N
_chemical_formula_sum 'Ba24 P9 H9 N3'
_cell_length_a 8.9835
_cell_length_b 8.9835
_cell_length_c 21.3849
_cell_angle_alpha 90.00
_cell_angle_beta 90.00
_cell_angle_gamma 120.00
_space_group_name_H-M_alt 'R -3 m'
_space_group_IT_number 166
_space_group_name_Hall '-R 3 2"'
loop_
_atom_site_label
_atom_site_type_symbol
_atom_site_fract_x
_atom_site_fract_y
_atom_site_fract_z
Ba1 Ba 0.0000 0.0000 0.2487
Ba2 Ba 0.0279 0.5140 0.2427
P1 P 0.0000 0.5000 0.5000
H1 H 0.0000 0.5000 0.0000
N1 N 0.0000 0.0000 0.5000
```

---

Record 7
For Li3U6S14, a DFT-relaxed cell (PBE, Alexandria) gives the calculated X-ray powder pattern in this record (a wavelength of 1.5418 Å).
Lines closer than 0.1° are merged.

Largest 12 diffraction maxima, in order of rising 2θ, 15 to 90 degrees two-theta:
hkl	two_theta	d [Å]	I/Imax
0 1 1	18.8	4.722	67
2 0 0	21.5	4.133	28
2 -1 1	24.2	3.673	27
0 2 1	26.6	3.357	100
1 2 0	28.6	3.124	38
3 0 1	36.1	2.485	31
2 2 0	37.7	2.386	27
2 0 2	38.1	2.361	29
3 1 1	42.4	2.130	37
1 2 2	42.7	2.116	42
5 -3 1	50.7	1.802	29
1 4 1	53.2	1.721	29

Crystal structure
```
data_Li3U6S14
_chemical_formula_sum 'Li3 U6 S14'
_cell_length_a 9.5444
_cell_length_b 9.5444
_cell_length_c 5.7531
_cell_angle_alpha 90.00
_cell_angle_beta 90.00
_cell_angle_gamma 120.00
_space_group_name_H-M_alt 'P 3'
_space_group_IT_number 143
_space_group_name_Hall 'P 3'
loop_
_atom_site_label
_atom_site_type_symbol
_atom_site_fract_x
_atom_site_fract_y
_atom_site_fract_z
Li1 Li 0.0000 0.0000 0.0000
Li2 Li 0.3333 0.6667 0.4983
Li3 Li 0.6667 0.3333 0.3627
U1 U 0.0413 0.5610 0.0866
U2 U 0.2919 0.1050 0.5882
S1 S 0.0000 0.0000 0.3910
S2 S 0.1010 0.8442 0.8327
S3 S 0.1782 0.4102 0.3313
S4 S 0.3333 0.6667 0.8888
S5 S 0.4135 0.1856 0.1236
S6 S 0.5186 0.4369 0.6163
```

---

Record 8
For La8Cd3Pt2, a DFT-relaxed cell (PBE, Alexandria) gives the calculated X-ray powder pattern in this record (a wavelength of 1.5418 Å).
Lines closer than 0.1° are merged.

Largest 12 diffraction maxima, in order of rising 2θ, 15 to 90 degrees two-theta:
hkl	two_theta	d [Å]	I/Imax
2 2 -1	28.0	3.185	20
2 2 1	29.6	3.022	100
5 1 -1	30.5	2.926	42
4 2 -1	32.4	2.761	16
5 1 1	34.0	2.636	18
0 0 2	34.9	2.569	16
2 0 -2	35.1	2.555	17
1 3 -1	35.8	2.510	20
6 2 0	36.8	2.443	21
7 1 0	36.9	2.437	19
0 4 0	41.8	2.162	20
5 3 -1	42.8	2.114	22

Crystal structure
```
data_La8Cd3Pt2
_chemical_formula_sum 'La16 Cd6 Pt4'
_cell_length_a 17.915
_cell_length_b 8.647
_cell_length_c 5.178
_cell_angle_alpha 90.00
_cell_angle_beta 97.13
_cell_angle_gamma 90.00
_space_group_name_H-M_alt 'C 1 2/m 1'
_space_group_IT_number 12
_space_group_name_Hall '-C 2y'
loop_
_atom_site_label
_atom_site_type_symbol
_atom_site_fract_x
_atom_site_fract_y
_atom_site_fract_z
La1 La 0.071 0.000 0.258
La2 La 0.162 0.223 0.751
La3 La 0.169 0.500 0.262
Cd1 Cd 0.000 0.324 0.000
Cd2 Cd 0.000 0.500 0.500
Pt1 Pt 0.232 0.000 0.180
```

---

Record 9
For Ba2TlH6Os, a DFT-relaxed cell (PBE, Alexandria) gives the calculated X-ray powder pattern in this record (a wavelength of 1.5418 Å).
Lines closer than 0.1° are merged.

Largest 12 diffraction maxima, in order of rising 2θ, 15 to 90 degrees two-theta:
hkl	two_theta	d [Å]	I/Imax
1 0 0	19.1	4.651	42
0 1 1	22.6	3.933	41
1 0 2	31.0	2.889	100
1 1 0	33.4	2.685	68
1 1 2	41.6	2.171	11
0 2 2	46.2	1.967	34
0 1 4	53.5	1.713	18
2 1 2	58.1	1.587	34
3 0 0	59.6	1.550	13
2 0 4	64.5	1.444	10
1 2 4	74.6	1.272	17
1 3 2	78.6	1.218	14

Crystal structure
```
data_Ba2TlH6Os
_chemical_formula_sum 'Ba2 Tl1 H6 Os1'
_cell_length_a 5.3705
_cell_length_b 5.3705
_cell_length_c 7.3712
_cell_angle_alpha 90.00
_cell_angle_beta 90.00
_cell_angle_gamma 120.00
_space_group_name_H-M_alt 'P -3 m 1'
_space_group_IT_number 164
_space_group_name_Hall '-P 3 2"'
loop_
_atom_site_label
_atom_site_type_symbol
_atom_site_fract_x
_atom_site_fract_y
_atom_site_fract_z
Ba1 Ba 0.3333 0.6667 0.3162
Tl1 Tl 0.0000 0.0000 0.0000
H1 H 0.1548 0.3096 0.6312
Os1 Os 0.0000 0.0000 0.5000
```

---

Record 10
For Sm4Te2SN2, a DFT-relaxed cell (PBE, Alexandria) gives the calculated X-ray powder pattern in this record (a wavelength of 1.5418 Å).
Lines closer than 0.1° are merged.

Largest 12 diffraction maxima, in order of rising 2θ, 15 to 90 degrees two-theta:
hkl	two_theta	d [Å]	I/Imax
1 1 1	26.9	3.319	43
3 1 0	28.5	3.137	68
4 0 -2	29.1	3.067	53
4 0 1	30.6	2.926	63
1 1 -2	32.7	2.741	100
5 1 -1	36.6	2.457	57
0 2 0	44.5	2.035	27
8 0 -1	46.9	1.937	22
3 1 3	52.9	1.730	27
7 1 1	53.9	1.700	19
4 2 -2	54.1	1.696	19
4 2 1	55.0	1.671	24

Crystal structure
```
data_Sm4Te2SN2
_chemical_formula_sum 'Sm8 Te4 S2 N4'
_cell_length_a 15.517
_cell_length_b 4.070
_cell_length_c 7.434
_cell_angle_alpha 90.00
_cell_angle_beta 107.86
_cell_angle_gamma 90.00
_space_group_name_H-M_alt 'C 1 2/m 1'
_space_group_IT_number 12
_space_group_name_Hall '-C 2y'
loop_
_atom_site_label
_atom_site_type_symbol
_atom_site_fract_x
_atom_site_fract_y
_atom_site_fract_z
Sm1 Sm 0.041 0.000 0.271
Sm2 Sm 0.210 0.500 0.652
Te1 Te 0.131 0.500 0.036
S1 S 0.000 0.500 0.500
N1 N 0.174 0.000 0.485
```

---

Record 11
For RbCeAsO5, a DFT-relaxed cell (PBE, Alexandria) gives the calculated X-ray powder pattern in this record (a wavelength of 1.5418 Å).
Lines closer than 0.1° are merged.

Largest 12 diffraction maxima, in order of rising 2θ, 15 to 90 degrees two-theta:
hkl	two_theta	d [Å]	I/Imax
1 1 0	15.5	5.716	32
1 1 -2	23.9	3.729	100
2 0 0	25.8	3.459	82
1 3 0	29.4	3.039	96
0 2 2	30.0	2.977	56
2 2 -2	32.4	2.762	30
1 1 2	33.2	2.699	23
3 1 -2	37.5	2.399	28
2 2 2	46.5	1.955	25
3 3 0	47.7	1.905	28
1 3 -4	53.3	1.718	22
1 5 2	55.9	1.644	21

Crystal structure
```
data_RbCeAsO5
_chemical_formula_sum 'Rb4 Ce4 As4 O20'
_cell_length_a 7.606
_cell_length_b 10.148
_cell_length_c 8.083
_cell_angle_alpha 90.00
_cell_angle_beta 114.56
_cell_angle_gamma 90.00
_space_group_name_H-M_alt 'C 1 2/c 1'
_space_group_IT_number 15
_space_group_name_Hall '-C 2yc'
loop_
_atom_site_label
_atom_site_type_symbol
_atom_site_fract_x
_atom_site_fract_y
_atom_site_fract_z
Rb1 Rb 0.000 0.167 0.250
Ce1 Ce 0.000 0.500 0.000
As1 As 0.000 0.187 0.750
O1 O 0.000 0.441 0.250
O2 O 0.082 0.285 0.622
O3 O 0.183 0.085 0.892
```

---

Record 12
For Pa2ClF7, a DFT-relaxed cell (PBE, Alexandria) gives the calculated X-ray powder pattern in this record (a wavelength of 1.5418 Å).
Lines closer than 0.1° are merged.

Largest 12 diffraction maxima, in order of rising 2θ, 15 to 90 degrees two-theta:
hkl	two_theta	d [Å]	I/Imax
0 2 0	18.2	4.885	96
0 0 1	19.9	4.461	100
2 0 0	22.2	4.004	76
0 2 1	27.1	3.294	82
2 2 0	28.8	3.097	60
2 0 1	30.0	2.980	33
2 2 1	35.3	2.544	78
0 0 2	40.4	2.230	31
2 4 0	43.4	2.085	36
2 4 1	48.2	1.889	42
2 2 2	50.4	1.810	27
4 2 1	53.6	1.711	26

Crystal structure
```
data_Pa2ClF7
_chemical_formula_sum 'Pa4 Cl2 F14'
_cell_length_a 8.008
_cell_length_b 9.771
_cell_length_c 4.461
_cell_angle_alpha 90.00
_cell_angle_beta 90.00
_cell_angle_gamma 90.00
_space_group_name_H-M_alt 'C m m m'
_space_group_IT_number 65
_space_group_name_Hall '-C 2 2'
loop_
_atom_site_label
_atom_site_type_symbol
_atom_site_fract_x
_atom_site_fract_y
_atom_site_fract_z
Pa1 Pa 0.000 0.237 0.000
Cl1 Cl 0.000 0.500 0.500
F1 F 0.000 0.000 0.000
F2 F 0.000 0.185 0.500
F3 F 0.225 0.368 0.000
```

---

Record 13
For BeNi3B, a DFT-relaxed cell (PBE, Alexandria) gives the calculated X-ray powder pattern in this record (a wavelength of 1.5418 Å).
Lines closer than 0.1° are merged.

Largest 12 diffraction maxima, in order of rising 2θ, 15 to 90 degrees two-theta:
hkl	two_theta	d [Å]	I/Imax
4 0 0	35.7	2.517	50
1 3 -1	35.8	2.505	100
0 6 0	51.3	1.782	22
3 3 1	51.4	1.777	44
5 3 -1	51.5	1.773	43
2 0 -2	51.9	1.761	22
4 6 0	64.0	1.454	16
2 0 2	64.5	1.445	8
6 0 -2	64.7	1.441	8
2 6 -2	76.0	1.253	12
1 9 -1	86.5	1.126	13
2 6 2	86.7	1.123	13

Crystal structure
```
data_BeNi3B
_chemical_formula_sum 'Be8 Ni24 B8'
_cell_length_a 10.654
_cell_length_b 10.693
_cell_length_c 3.522
_cell_angle_alpha 90.00
_cell_angle_beta 109.12
_cell_angle_gamma 90.00
_space_group_name_H-M_alt 'C 1 2/c 1'
_space_group_IT_number 15
_space_group_name_Hall '-C 2yc'
loop_
_atom_site_label
_atom_site_type_symbol
_atom_site_fract_x
_atom_site_fract_y
_atom_site_fract_z
Be1 Be 0.243 0.080 0.494
Ni1 Ni 0.118 0.090 0.869
Ni2 Ni 0.119 0.416 0.868
Ni3 Ni 0.121 0.254 0.371
B1 B 0.000 0.245 0.750
B2 B 0.000 0.416 0.250
```